For MnN2F8, a DFT-relaxed cell (GGA+U, Alexandria) gives the calculated powder X-ray diffraction pattern in this record (Cu Ka).

Structure:
```
data_MnN2F8
_cell_length_a 6.2820
_cell_length_b 6.2820
_cell_length_c 12.4149
_cell_angle_alpha 106.02
_cell_angle_beta 106.02
_cell_angle_gamma 52.21
_symmetry_space_group_name_H-M 'P 1'
_symmetry_Int_Tables_number 1
loop_
_symmetry_equiv_pos_as_xyz
'x,y,z'
loop_
_atom_site_label
_atom_site_type_symbol
_atom_site_fract_x
_atom_site_fract_y
_atom_site_fract_z
Mn1 Mn 0.1984 0.8016 0.7500
Mn2 Mn 0.8016 0.1984 0.2500
N1 N 0.2666 0.3242 0.4442
N2 N 0.3242 0.2666 0.9442
N3 N 0.6758 0.7334 0.0558
N4 N 0.7334 0.6758 0.5558
F1 F 0.0885 0.1570 0.7976
F2 F 0.1551 0.5376 0.9376
F3 F 0.1570 0.0885 0.2976
F4 F 0.1779 0.5374 0.3957
F5 F 0.3344 0.4922 0.6472
F6 F 0.4624 0.8449 0.5624
F7 F 0.4626 0.8221 0.1043
F8 F 0.4922 0.3344 0.1472
F9 F 0.5078 0.6656 0.8528
F10 F 0.5374 0.1779 0.8957
F11 F 0.5376 0.1551 0.4376
F12 F 0.6656 0.5078 0.3528
F13 F 0.8221 0.4626 0.6043
F14 F 0.8430 0.9115 0.7024
F15 F 0.8449 0.4624 0.0624
F16 F 0.9115 0.8430 0.2024
```

Largest 10 diffraction maxima, sorted by position, 2θ = 10–80°:
Position (°2θ), I (rel.)
18.58, 100
20.53, 33
21.84, 81
25.63, 45
26.95, 32
28.71, 31
29.71, 97
32.11, 30
32.49, 26
46.23, 25